Theoretical X-ray powder pattern
Compound: Ho2PuCoO8
Radiation: Cu Ka
Structure: a cell relaxed with GGA+U
Intensities are scaled so that the largest is 100.

The 12 most intense peaks (2θ = 10–80°), sorted by position:
two_theta	d/Å	Rel. int.
13.0	6.816	15
22.3	3.986	26
24.8	3.589	59
26.4	3.371	48
32.0	2.800	100
36.6	2.457	28
48.4	1.881	23
48.4	1.880	21
50.3	1.815	34
63.0	1.476	21
66.8	1.400	11
77.2	1.235	13

Cell and atoms:
```
data_Ho2PuCoO8
_chemical_formula_sum 'Ho2 Pu1 Co1 O8'
_space_group_name_H-M_alt 'P 1'
_space_group_IT_number 1
_space_group_name_Hall 'P 1'
_cell_length_a 4.9228
_cell_length_b 6.8164
_cell_length_c 4.9238
_cell_angle_alpha 90.00
_cell_angle_beta 93.59
_cell_angle_gamma 90.00
loop_
_atom_site_label
_atom_site_type_symbol
_atom_site_fract_x
_atom_site_fract_y
_atom_site_fract_z
Ho1 Ho 0.0000 0.2400 0.0000
Ho2 Ho 0.0000 0.7600 0.0000
Pu1 Pu 0.5000 0.5000 0.5000
Co1 Co 0.5000 0.0000 0.5000
O1 O 0.2039 0.5000 0.2018
O2 O 0.2285 0.0000 0.2277
O3 O 0.3155 0.2737 0.6830
O4 O 0.3155 0.7263 0.6830
O5 O 0.6845 0.2737 0.3170
O6 O 0.6845 0.7263 0.3170
O7 O 0.7715 0.0000 0.7723
O8 O 0.7961 0.5000 0.7982
```